# Co2SiHgF
Calculated PXRD pattern, a wavelength of 1.5418 Å. Input: the PBE+U geometry in Alexandria.
Peak positions follow from Bragg's law for the DFT cell and can differ from measured ones.

Structural model:
```
Co2SiHgF
1.0
4.1893 0.0000 0.0000
0.0000 4.1893 0.0000
0.0000 0.0000 4.5264
Co Si Hg F
2 1 1 1
Direct
0.0000 0.5000 0.0000 Co
0.5000 0.0000 0.0000 Co
0.0000 0.0000 0.5000 Si
0.5000 0.5000 0.5000 Hg
0.0000 0.0000 0.0000 F
```

Top 10 peaks for 5 to 70 degrees two-theta, in order of rising 2θ:
two_theta, I/Imax, index
21.21, 370, 1 0 0
29.04, 585, 1 0 1
36.24, 1000, 1 1 1
39.83, 239, 0 0 2
43.19, 378, 2 0 0
45.56, 114, 1 0 2
52.89, 224, 2 1 1
60.20, 273, 2 0 2
62.73, 120, 2 2 0
69.98, 145, 1 1 3